# 1
Diffraction record for PrTaN2O. The powder XRD pattern is calculated, not measured: it uses a structure optimized by DFT (GGA-PBE) and Cu Kα (λ = 1.5418 Å).

Principal peaks in the range 10° ≤ 2θ ≤ 80°, by angle:
| Position (°2θ) | d/Å | I (rel.) | (hkl) |
| --- | --- | --- | --- |
| 31.35 | 2.854 | 100 | 0 2 2 |
| 31.63 | 2.829 | 26 | 2 0 0 |
| 31.88 | 2.808 | 26 | 2 0 -4 |
| 45.52 | 1.993 | 23 | 0 0 4 |
| 56.15 | 1.638 | 21 | 2 2 2 |
| 56.46 | 1.630 | 21 | 4 2 -6 |

Atomic structure:
```
data_PrTaN2O
_space_group_name_H-M_alt 'P 1 21/c 1'
_space_group_IT_number 14
_space_group_name_Hall '-P 2ybc'
_cell_length_a 7.9704
_cell_length_b 8.1765
_cell_length_c 11.2301
_cell_angle_alpha 90.00
_cell_angle_beta 134.78
_cell_angle_gamma 90.00
loop_
_atom_site_label
_atom_site_type_symbol
_atom_site_fract_x
_atom_site_fract_y
_atom_site_fract_z
Pr1 Pr 0.2423 0.0003 0.4962
Pr2 Pr 0.2431 0.9996 0.9968
Ta1 Ta 0.2618 0.2498 0.2542
Ta2 Ta 0.2615 0.7500 0.2576
N1 N 0.2168 0.0001 0.2329
N2 N 0.2187 0.9999 0.7349
N3 N 0.4412 0.7489 0.9984
N4 N 0.4417 0.2503 0.1932
O1 O 0.0721 0.2502 0.3243
O2 O 0.0716 0.7492 0.9977
```

=====

# 2
Diffraction record for PrTaN2O. The powder XRD pattern is calculated, not measured: it uses a structure optimized by DFT (GGA-PBE) and Cu Kα (λ = 1.5418 Å).

Principal peaks in the range 10° ≤ 2θ ≤ 80°, by angle:
| Position (°2θ) | d/Å | I (rel.) | (hkl) |
| --- | --- | --- | --- |
| 31.37 | 2.852 | 100 | 2 2 -2 |
| 31.62 | 2.830 | 20 | 2 0 -4 |
| 44.70 | 2.027 | 10 | 0 4 0 |
| 45.24 | 2.004 | 9 | 4 0 -4 |
| 55.81 | 1.647 | 15 | 2 4 -4 |
| 56.15 | 1.638 | 17 | 4 2 -6 |

Atomic structure:
```
data_PrTaN2O
_space_group_name_H-M_alt 'P 1 21/c 1'
_space_group_IT_number 14
_space_group_name_Hall '-P 2ybc'
_cell_length_a 8.0173
_cell_length_b 8.1096
_cell_length_c 11.3182
_cell_angle_alpha 90.00
_cell_angle_beta 134.74
_cell_angle_gamma 90.00
loop_
_atom_site_label
_atom_site_type_symbol
_atom_site_fract_x
_atom_site_fract_y
_atom_site_fract_z
Pr1 Pr 0.0344 0.2436 0.0169
Pr2 Pr 0.4630 0.7461 0.4816
Ta1 Ta 0.0150 0.0070 0.2614
Ta2 Ta 0.4923 0.5039 0.2380
N1 N 0.0122 0.7505 0.2205
N2 N 0.1958 0.5349 0.9995
N3 N 0.2907 0.0316 0.2898
N4 N 0.4803 0.2478 0.2047
O1 O 0.2129 0.5441 0.4992
O2 O 0.3040 0.0377 0.8046
```

=====

# 3
Diffraction record for PrTaN2O. The powder XRD pattern is calculated, not measured: it uses a structure optimized by DFT (GGA-PBE) and Cu Kα (λ = 1.5418 Å).

Principal peaks in the range 10° ≤ 2θ ≤ 80°, by angle:
| Position (°2θ) | d/Å | I (rel.) | (hkl) |
| --- | --- | --- | --- |
| 31.13 | 2.873 | 19 | 1 -1 0 |
| 31.47 | 2.842 | 100 | 1 2 1 |
| 44.77 | 2.024 | 10 | 0 2 -2 |
| 44.88 | 2.020 | 10 | 2 0 -2 |
| 55.62 | 1.653 | 17 | -1 2 3 |
| 55.99 | 1.642 | 16 | 3 2 -1 |

Atomic structure:
```
data_PrTaN2O
_space_group_name_H-M_alt 'P 1'
_space_group_IT_number 1
_space_group_name_Hall 'P 1'
_cell_length_a 5.6788
_cell_length_b 5.6867
_cell_length_c 9.8088
_cell_angle_alpha 73.69
_cell_angle_beta 73.60
_cell_angle_gamma 60.73
loop_
_atom_site_label
_atom_site_type_symbol
_atom_site_fract_x
_atom_site_fract_y
_atom_site_fract_z
Pr1 Pr 0.0000 0.0000 0.0000
Pr2 Pr 0.2238 0.2761 0.2486
Pr3 Pr 0.5004 0.5024 0.4929
Pr4 Pr 0.7243 0.7789 0.7468
Ta1 Ta 0.1313 0.1289 0.6286
Ta2 Ta 0.3411 0.3934 0.8752
Ta3 Ta 0.6048 0.6558 0.1236
Ta4 Ta 0.8533 0.9038 0.3619
N1 N 0.0232 0.5238 0.0220
N2 N 0.1515 0.3478 0.7433
N3 N 0.2224 0.7181 0.2253
N4 N 0.2577 0.7866 0.7699
N5 N 0.4810 0.9827 0.9669
N6 N 0.5067 0.0323 0.5168
N7 N 0.6543 0.8386 0.2477
N8 N 0.7705 0.2733 0.2642
O1 O 0.0705 0.9058 0.5015
O2 O 0.5964 0.4211 0.9815
O3 O 0.7114 0.2387 0.7093
O4 O 0.9555 0.4718 0.4699
```

=====

# 4
Diffraction record for PrTaN2O. The powder XRD pattern is calculated, not measured: it uses a structure optimized by DFT (GGA-PBE) and Cu Kα (λ = 1.5418 Å).

Principal peaks in the range 10° ≤ 2θ ≤ 80°, by angle:
| Position (°2θ) | d/Å | I (rel.) | (hkl) |
| --- | --- | --- | --- |
| 29.12 | 3.067 | 59 | 1 0 -1 |
| 29.60 | 3.018 | 49 | 0 1 -1 |
| 29.81 | 2.997 | 53 | 1 1 2 |
| 31.81 | 2.813 | 100 | 1 -1 0 |
| 32.33 | 2.769 | 48 | 2 1 1 |
| 57.34 | 1.607 | 24 | 3 0 1 |

Atomic structure:
```
data_PrTaN2O
_space_group_name_H-M_alt 'P 1'
_space_group_IT_number 1
_space_group_name_Hall 'P 1'
_cell_length_a 5.5396
_cell_length_b 5.6228
_cell_length_c 6.0455
_cell_angle_alpha 62.61
_cell_angle_beta 64.20
_cell_angle_gamma 60.60
loop_
_atom_site_label
_atom_site_type_symbol
_atom_site_fract_x
_atom_site_fract_y
_atom_site_fract_z
Pr1 Pr 0.0000 0.0000 0.0000
Pr2 Pr 0.2658 0.2590 0.2256
Ta1 Ta 0.4903 0.4444 0.5616
Ta2 Ta 0.7702 0.7728 0.6645
N1 N 0.1744 0.6159 0.3960
N2 N 0.4412 0.0697 0.8349
N3 N 0.6259 0.4559 0.8419
N4 N 0.8064 0.1997 0.3664
O1 O 0.0347 0.6460 0.8674
O2 O 0.6037 0.8129 0.3814
```